Simulated powder XRD pattern
Compound: CrOsRu3
Radiation: CuKα
Structure: a DFT-relaxed cell (PBE, Alexandria)
Lines closer than 0.1° are merged.

Most intense lines, 10 to 90 degrees two-theta, in order of rising 2θ:
21.2 deg, 4.190 Å, I = 15
27.8 deg, 3.213 Å, I = 12
38.4 deg, 2.343 Å, I = 50
42.2 deg, 2.143 Å, I = 51
44.0 deg, 2.060 Å, I = 69
44.1 deg, 2.055 Å, I = 100
44.1 deg, 2.051 Å, I = 32
58.5 deg, 1.579 Å, I = 14
69.5 deg, 1.352 Å, I = 22
78.6 deg, 1.218 Å, I = 12
84.8 deg, 1.143 Å, I = 19
86.0 deg, 1.130 Å, I = 14

Atomic structure:
```
data_CrOsRu3
_chemical_formula_sum 'Cr2 Os2 Ru6'
_cell_length_a 4.690
_cell_length_b 5.062
_cell_length_c 6.916
_cell_angle_alpha 108.46
_cell_angle_beta 90.17
_cell_angle_gamma 117.54
_space_group_name_H-M_alt 'P -1'
_space_group_IT_number 2
loop_
_space_group_symop_operation_xyz
'x,y,z'
'-x,-y,-z'
loop_
_atom_site_label
_atom_site_fract_x
_atom_site_fract_y
_atom_site_fract_z
Cr1 0.030 0.392 0.151
Os1 0.159 0.989 0.242
Ru1 0.231 0.799 0.551
Ru2 0.370 0.403 0.653
Ru3 0.433 0.198 0.951
```